# 1
Starting from a crystal structure in the Materials Project, relaxed with PBE, the powder XRD pattern of MgTe4Pb6Br4O12 was simulated for Cu Kα (weighted mean of Kα1 and Kα2).

Cell and atoms:
```
MgTe4Pb6Br4O12
1.0
9.040 -2.922 0.000
9.040 2.922 0.000
-3.361 0.000 10.856
Mg Te Pb Br O
1 4 6 4 12
Cartesian
0.000 0.000 0.000 Mg
5.767 1.967 4.869 Te
8.952 1.967 5.987 Te
3.570 -0.824 9.980 Te
11.150 -0.824 0.876 Te
5.538 1.880 1.094 Pb
9.182 1.880 9.761 Pb
3.544 -1.001 3.180 Pb
7.447 -0.932 3.263 Pb
7.273 -0.932 7.593 Pb
11.176 -1.001 7.675 Pb
5.618 1.793 8.573 Br
9.102 1.793 2.283 Br
3.704 -0.919 6.571 Br
11.016 -0.919 4.285 Br
0.091 0.428 7.375 O
3.405 0.697 1.186 O
2.136 0.556 9.637 O
5.628 0.639 3.426 O
7.360 0.710 5.428 O
6.589 -0.544 0.991 O
9.092 0.639 7.429 O
12.584 0.556 1.219 O
11.315 0.697 9.670 O
8.131 -0.544 9.865 O
14.629 0.428 3.481 O
7.360 -2.673 5.428 O
```

Top 10 peaks for 2θ from 15° to 90°, in order of rising 2θ:
2θ/deg  d_spacing  I_rel
24.03  3.704  25
28.15  3.169  84
29.04  3.074  100
30.01  2.977  32
30.60  2.922  39
43.39  2.085  33
49.77  1.832  17
52.90  1.731  15
53.23  1.721  14
53.43  1.715  17

***

# 2
Starting from a crystal structure in the Materials Project, relaxed with PBE, the powder XRD pattern of LiLu4Ge4 was simulated for Cu Kα (weighted mean of Kα1 and Kα2).

Cell and atoms:
```
LiLu4Ge4
1.0
7.011 0.000 0.000
0.000 14.390 0.000
0.000 0.000 7.586
Li Lu Ge
4 16 16
Cartesian
1.110 3.598 0.161 Li
2.395 10.793 3.954 Li
4.616 3.598 3.631 Li
5.901 10.793 7.424 Li
0.099 8.582 5.203 Lu
0.099 13.003 5.203 Lu
1.205 9.033 1.333 Lu
1.205 12.552 1.333 Lu
2.301 1.838 5.126 Lu
2.301 5.357 5.126 Lu
3.407 1.387 1.410 Lu
3.407 5.808 1.410 Lu
3.604 8.582 6.176 Lu
3.604 13.003 6.176 Lu
4.711 9.033 2.460 Lu
4.711 12.552 2.460 Lu
5.807 1.838 6.252 Lu
5.807 5.357 6.252 Lu
6.913 1.387 2.383 Lu
6.913 5.808 2.383 Lu
0.115 3.598 4.467 Ge
1.185 0.542 7.327 Ge
1.185 6.654 7.327 Ge
1.502 10.793 6.534 Ge
2.004 3.598 2.741 Ge
2.321 7.737 3.534 Ge
2.321 13.849 3.534 Ge
3.391 10.793 0.674 Ge
3.620 3.598 6.911 Ge
4.690 0.542 4.052 Ge
4.690 6.654 4.052 Ge
5.007 10.793 4.844 Ge
5.510 3.598 1.051 Ge
5.827 7.737 0.259 Ge
5.827 13.849 0.259 Ge
6.897 10.793 3.119 Ge
```

Top 10 peaks for 2θ from 15° to 90°, in order of rising 2θ:
2θ/deg  d_spacing  I_rel
24.75  3.598  26
28.73  3.107  26
32.70  2.739  76
33.80  2.652  100
34.36  2.610  43
36.74  2.446  38
37.76  2.382  25
38.36  2.347  22
40.38  2.234  33
59.69  1.549  26

***

# 3
Starting from a crystal structure in the Materials Project, relaxed with PBE, the powder XRD pattern of Nd2Si2PbSe8 was simulated for Cu Kα (weighted mean of Kα1 and Kα2).

Cell and atoms:
```
Nd2Si2PbSe8
1.0
8.167 -4.731 0.000
8.167 4.731 0.000
-5.235 0.000 9.388
Nd Si Pb Se
4 4 2 16
Cartesian
5.550 4.162 4.694 Nd
10.732 0.886 0.040 Nd
8.114 -0.886 4.734 Nd
8.167 -4.162 0.000 Nd
2.905 2.415 6.866 Si
8.226 2.326 2.583 Si
5.523 -2.415 2.173 Si
5.608 -2.326 7.277 Si
5.548 0.844 0.028 Pb
2.931 -0.844 4.722 Pb
-0.844 1.144 6.409 Se
2.857 2.491 4.566 Se
6.274 3.216 1.771 Se
4.926 3.247 7.602 Se
1.774 -1.144 1.715 Se
2.725 0.312 7.752 Se
8.117 2.312 4.880 Se
5.342 -0.312 3.058 Se
8.558 0.160 1.913 Se
0.239 -2.491 9.260 Se
5.941 -0.160 6.607 Se
11.964 0.987 2.881 Se
3.657 -3.216 6.465 Se
7.544 -3.247 2.908 Se
10.734 -2.312 0.186 Se
9.347 -0.987 7.575 Se
```

Top 10 peaks for 2θ from 15° to 90°, in order of rising 2θ:
2θ/deg  d_spacing  I_rel
20.91  4.249  62
21.03  4.225  63
21.24  4.184  59
32.81  2.729  100
34.07  2.631  73
34.36  2.610  73
34.70  2.585  71
37.95  2.371  57
38.35  2.347  62
39.23  2.296  52